Structure and computed powder XRD pattern of NaYCd2Cl8 (a cell relaxed with PBE; a wavelength of 1.5418 Å).

Structure:
```
data_NaYCd2Cl8
_symmetry_space_group_name_H-M 'P 1 2/m 1'
_symmetry_Int_Tables_number 10
_cell_length_a 6.1783
_cell_length_b 8.0946
_cell_length_c 6.4671
_cell_angle_alpha 90.00
_cell_angle_beta 90.14
_cell_angle_gamma 90.00
loop_
_symmetry_equiv_pos_as_xyz
'x,y,z'
'-x,-y,-z'
'-x,y,-z'
'x,-y,z'
loop_
_atom_site_label
_atom_site_fract_x
_atom_site_fract_y
_atom_site_fract_z
_atom_site_occupancy
Na1 0.0000 0.0000 0.0000 1
Y1 0.0000 0.5000 0.0000 1
Cd1 0.5000 0.2414 0.5000 1
Cl1 0.2319 0.2633 0.1715 1
Cl2 0.2729 0.5000 0.6690 1
Cl3 0.2744 0.0000 0.6579 1
```

The 6 most intense peaks (2θ from 5° to 70°), low angle first:
h k l	2theta	intensity
1 0 -1	19.87	100
1 2 0	26.32	35
1 2 -1	29.77	41
1 2 -2	38.50	35
2 2 -1	39.24	58
0 2 3	47.81	26